Starting from the PBE geometry in OQMD, the X-ray diffraction stick pattern of PrPuNi was calculated for Cu Ka.
Neutral-atom scattering factors, no anomalous dispersion.

Atomic structure:
```
data_PrPuNi
_chemical_formula_sum 'Pr1 Pu1 Ni1'
_symmetry_space_group_name_H-M 'P 1'
_symmetry_Int_Tables_number 1
_cell_length_a 4.5584
_cell_length_b 4.5584
_cell_length_c 4.5584
_cell_angle_alpha 60.00
_cell_angle_beta 60.00
_cell_angle_gamma 60.00
loop_
_symmetry_equiv_pos_as_xyz
'x,y,z'
loop_
_atom_site_label
_atom_site_fract_x
_atom_site_fract_y
_atom_site_fract_z
_atom_site_occupancy
Pr1 0.0000 0.0000 0.0000 1
Pu1 0.7500 0.7500 0.7500 1
Ni1 0.5000 0.5000 0.5000 1
```

Principal peaks in the range 2θ from 10° to 90°, by angle:
- 23.91 deg, 3.722 Å, rel. 75.3
- 39.54 deg, 2.279 Å, rel. 100.0
- 46.73 deg, 1.944 Å, rel. 39.4
- 57.16 deg, 1.612 Å, rel. 17.1
- 62.83 deg, 1.479 Å, rel. 16.7
- 71.73 deg, 1.316 Å, rel. 34.8
- 76.84 deg, 1.241 Å, rel. 12.7
- 85.14 deg, 1.140 Å, rel. 11.2